For Pr2ZrCr2N6, a PBE-relaxed structure gives the simulated powder XRD pattern in this record (Cu Kα (λ = 1.5418 Å)).

The 12 most intense peaks (2θ = 10–90°), sorted by position:
index	two_theta	I (rel.)
0 0 3	16.1	13
1 0 4	27.9	30
1 1 0	30.7	100
0 1 5	32.4	69
0 2 4	42.0	22
2 0 5	45.2	27
3 0 0	54.6	19
1 2 5	55.7	29
1 1 9	59.5	25
2 2 0	64.0	16
3 1 5	73.6	13
3 0 9	76.9	11

Cell and atoms:
Unit cell a=5.8179 b=5.8179 c=16.5521 alpha=90.00 beta=90.00 gamma=120.00
Space group R-3m (No. 166, hexagonal axes)
Inequivalent atoms, fractional coordinates:
Pr1 0.0000 0.0000 0.2124 [6 per cell]
Zr1 0.0000 0.0000 0.0000 [3 per cell]
Cr1 0.0000 0.0000 0.4345 [6 per cell]
N1 0.0071 0.5035 0.7522 [18 per cell]

For CrPtN, a PBE-relaxed structure gives the simulated powder XRD pattern in this record (Cu Kα (λ = 1.5418 Å)).

The 12 most intense peaks (2θ = 10–90°), sorted by position:
index	two_theta	I (rel.)
0 0 1	15.8	92
0 0 2	32.0	28
1 0 1	32.5	19
1 1 0	35.7	34
0 1 2	38.9	26
1 1 1	39.3	100
0 2 0	43.8	28
0 2 1	46.9	13
1 1 2	48.7	39
0 2 2	55.2	12
1 0 3	57.3	13
1 3 1	77.4	14

Cell and atoms:
Unit cell a=3.168 b=4.133 c=5.600 alpha=90.00 beta=90.00 gamma=90.00
Space group Pmmn (No. 59, origin choice 2)
Inequivalent atoms, fractional coordinates:
Cr1 0.250 0.250 0.133 [2 per cell]
Pt1 0.250 0.750 0.455 [2 per cell]
N1 0.250 0.750 0.057 [2 per cell]

For Pu2CrN5, a PBE-relaxed structure gives the simulated powder XRD pattern in this record (Cu Kα (λ = 1.5418 Å)).

The 12 most intense peaks (2θ = 10–90°), sorted by position:
index	two_theta	I (rel.)
0 2 0	16.3	24
0 0 2	17.8	48
0 2 1	18.6	31
1 1 0	23.1	100
1 1 2	29.4	25
0 2 3	31.6	98
1 3 0	32.9	98
1 1 3	35.7	76
0 4 2	37.7	40
0 4 3	43.0	29
2 0 0	44.1	28
1 5 3	55.2	85

Cell and atoms:
Unit cell a=4.110 b=10.889 c=9.954 alpha=90.00 beta=90.00 gamma=90.00
Space group Cmcm (No. 63)
Inequivalent atoms, fractional coordinates:
Pu1 0.000 0.142 0.071 [8 per cell]
Cr1 0.000 0.183 0.750 [4 per cell]
N1 0.000 0.053 0.621 [8 per cell]
N2 0.000 0.260 0.250 [4 per cell]
N3 0.000 0.296 0.576 [8 per cell]

For Pu2CrReN6, a PBE-relaxed structure gives the simulated powder XRD pattern in this record (Cu Kα (λ = 1.5418 Å)).

The 12 most intense peaks (2θ = 10–90°), sorted by position:
index	two_theta	I (rel.)
0 0 1	19.0	13
1 1 1	30.7	100
2 0 0	34.1	38
0 0 2	38.6	11
2 0 1	39.3	9
1 1 2	45.9	12
2 2 0	49.0	18
2 0 2	52.4	22
3 1 1	59.0	33
2 2 2	64.0	10
1 1 3	64.9	9
3 1 3	85.5	9

Cell and atoms:
Unit cell a=5.255 b=5.255 c=4.671 alpha=90.00 beta=90.00 gamma=90.00
Space group P4mm (No. 99)
Inequivalent atoms, fractional coordinates:
Pu1 0.000 0.500 0.000 [2 per cell]
Cr1 0.000 0.000 0.571 [1 per cell]
Re1 0.500 0.500 0.574 [1 per cell]
N1 0.000 0.000 0.211 [1 per cell]
N2 0.248 0.248 0.704 [4 per cell]
N3 0.500 0.500 0.190 [1 per cell]

For YPu2CrN4, a PBE-relaxed structure gives the simulated powder XRD pattern in this record (Cu Kα (λ = 1.5418 Å)).

The 12 most intense peaks (2θ = 10–90°), sorted by position:
index	two_theta	I (rel.)
0 0 2	15.4	51
0 2 3	28.0	100
0 4 0	31.4	55
1 1 2	32.1	76
1 3 0	35.9	22
1 1 3	36.6	29
1 3 2	39.3	73
0 2 5	42.4	32
1 1 5	48.8	33
1 3 5	54.2	18
1 5 3	54.3	22
2 2 5	72.0	22

Cell and atoms:
Unit cell a=3.325 b=11.398 c=11.504 alpha=90.00 beta=90.00 gamma=90.00
Space group Cmcm (No. 63)
Inequivalent atoms, fractional coordinates:
Y1 0.000 0.111 0.250 [4 per cell]
Pu1 0.000 0.367 0.049 [8 per cell]
Cr1 0.000 0.152 0.750 [4 per cell]
N1 0.000 0.000 0.000 [4 per cell]
N2 0.000 0.269 0.628 [8 per cell]
N3 0.000 0.447 0.250 [4 per cell]

For Rb2CrReN4, a PBE-relaxed structure gives the simulated powder XRD pattern in this record (Cu Kα (λ = 1.5418 Å)).

The 12 most intense peaks (2θ = 10–90°), sorted by position:
index	two_theta	I (rel.)
0 0 1	12.4	36
0 1 1	18.5	19
1 1 0	20.0	29
1 0 2	29.1	83
2 0 0	29.4	59
0 2 1	30.2	39
1 2 1	33.7	100
2 0 2	39.0	17
2 2 1	42.6	18
0 2 3	47.4	22
3 2 1	55.0	25
2 2 3	56.8	33

Cell and atoms:
Unit cell a=6.070 b=6.518 c=7.112 alpha=90.00 beta=90.00 gamma=90.00
Space group Pmmn (No. 59, origin choice 2)
Inequivalent atoms, fractional coordinates:
Rb1 0.250 0.001 0.193 [4 per cell]
Cr1 0.250 0.750 0.644 [2 per cell]
Re1 0.250 0.250 0.640 [2 per cell]
N1 0.005 0.750 0.506 [4 per cell]
N2 0.250 0.503 0.774 [4 per cell]

For CrRuN3, a PBE-relaxed structure gives the simulated powder XRD pattern in this record (Cu Kα (λ = 1.5418 Å)).

The 10 most intense peaks (2θ = 10–90°), sorted by position:
index	two_theta	I (rel.)
1 0 0	24.2	7
1 1 0	34.5	100
1 1 1	42.6	14
2 0 0	49.6	31
2 1 0	56.0	4
2 1 1	61.8	35
2 2 0	72.8	17
3 0 0	78.0	2
3 1 0	83.1	15
3 1 1	88.2	4

Cell and atoms:
Unit cell a=3.675 b=3.675 c=3.675 alpha=90.00 beta=90.00 gamma=90.00
Space group Pm-3m (No. 221)
Inequivalent atoms, fractional coordinates:
Cr1 0.000 0.000 0.000 [1 per cell]
Ru1 0.500 0.500 0.500 [1 per cell]
N1 0.000 0.000 0.500 [3 per cell]

For Th2ScCr2N6, a PBE-relaxed structure gives the simulated powder XRD pattern in this record (Cu Kα (λ = 1.5418 Å)).

The 12 most intense peaks (2θ = 10–90°), sorted by position:
index	two_theta	I (rel.)
0 0 3	15.2	31
0 1 2	21.4	73
1 0 4	27.8	16
0 1 5	31.8	100
1 1 0	32.8	99
1 1 3	36.4	18
2 0 2	39.5	30
1 0 7	40.9	23
2 0 5	46.4	41
1 2 2	52.3	16
1 2 5	58.0	37
3 0 0	58.6	19

Cell and atoms:
Unit cell a=5.4546 b=5.4546 c=17.4922 alpha=90.00 beta=90.00 gamma=120.00
Space group R-3m (No. 166, hexagonal axes)
Inequivalent atoms, fractional coordinates:
Th1 0.0000 0.0000 0.2125 [6 per cell]
Sc1 0.0000 0.0000 0.0000 [3 per cell]
Cr1 0.0000 0.0000 0.3968 [6 per cell]
N1 0.0097 0.5049 0.7627 [18 per cell]